Structure and computed X-ray powder pattern of CoP6Pt (a crystal structure in Alexandria, relaxed with GGA-PBE; Cu Kα).
Neutral-atom scattering factors, no anomalous dispersion.

```
data_CoP6Pt
_chemical_formula_sum 'Co3 P18 Pt3'
_cell_length_a 5.5439
_cell_length_b 5.5439
_cell_length_c 14.4747
_cell_angle_alpha 90.00
_cell_angle_beta 90.00
_cell_angle_gamma 120.00
_symmetry_space_group_name_H-M 'R -3'
_symmetry_Int_Tables_number 148
_symmetry_space_group_name_Hall '-R 3'
loop_
_atom_site_label
_atom_site_type_symbol
_atom_site_fract_x
_atom_site_fract_y
_atom_site_fract_z
Co1 Co 0.0000 0.0000 0.0000
P1 P 0.0260 0.7192 0.2741
Pt1 Pt 0.0000 0.0000 0.5000
```

Top 6 peaks for 2θ from 10° to 90°, by angle:
d [Å]	2θ/deg	I/Imax
4.557	19.48	58
4.001	22.22	100
2.890	30.94	64
2.404	37.42	48
2.279	39.55	43
1.820	50.13	48